Diffraction record for KPHO3F. The powder diffractogram is simulated, not measured: it uses the PBE geometry in the Materials Project and Cu Kα.
No peak broadening, texture or thermal motion is included.

Peak list (12 most intense, 2θ from 10° to 90°, low angle first)
d (Å)	2θ (°)	Rel. int.	index
4.287	20.7	18	1 2 -1
3.745	23.8	57	0 1 2
3.566	25.0	100	0 4 0
3.409	26.1	68	0 2 2
3.264	27.3	86	2 1 -1
3.251	27.4	47	2 1 1
3.027	29.5	23	2 2 1
3.007	29.7	29	0 3 2
2.473	36.3	16	3 0 0
2.173	41.6	25	2 5 -1
2.127	42.5	19	2 0 -3
2.029	44.7	20	2 2 3

Structural model:
```
data_KPHO3F
_cell_length_a 7.4167
_cell_length_b 14.2669
_cell_length_c 7.7622
_cell_angle_alpha 90.00
_cell_angle_beta 90.29
_cell_angle_gamma 90.00
_symmetry_space_group_name_H-M 'P 1 21 1'
_symmetry_Int_Tables_number 4
loop_
_symmetry_equiv_pos_as_xyz
'x,y,z'
'-x,y+1/2,-z'
loop_
_atom_site_label
_atom_site_type_symbol
_atom_site_fract_x
_atom_site_fract_y
_atom_site_fract_z
K1 K 0.0086 0.0000 0.3101
K2 K 0.3038 0.7355 0.9073
K3 K 0.3054 0.4956 0.2191
K4 K 0.3771 0.2679 0.5736
P1 P 0.1470 0.7378 0.3796
P2 P 0.1980 0.2532 0.0967
P3 P 0.2030 0.9896 0.7868
P4 P 0.4458 0.5097 0.7167
H1 H 0.0430 0.3137 0.8765
H2 H 0.0761 0.0913 0.9831
H3 H 0.1878 0.8501 0.5776
H4 H 0.3715 0.9445 0.0898
O1 O 0.0029 0.2996 0.6912
O2 O 0.0503 0.0373 0.8949
O3 O 0.0797 0.3301 0.0028
O4 O 0.0933 0.1629 0.1217
O5 O 0.1192 0.9418 0.6325
O6 O 0.2417 0.7851 0.5407
O7 O 0.2828 0.6958 0.2608
O8 O 0.3003 0.2960 0.2430
O9 O 0.3356 0.5468 0.8638
O10 O 0.3365 0.9332 0.8917
O11 O 0.3513 0.4652 0.5660
O12 O 0.3914 0.9448 0.2205
F1 F 0.0432 0.6515 0.4704
F2 F 0.3142 0.0773 0.7123
F3 F 0.3457 0.2283 0.9491
F4 F 0.4442 0.0984 0.3596
```

=====

Diffraction record for K3H3S2O8F2. The powder diffractogram is simulated, not measured: it uses the PBE geometry in the Materials Project and Cu Kα.
No peak broadening, texture or thermal motion is included.

Peak list (12 most intense, 2θ from 10° to 90°, low angle first)
d (Å)	2θ (°)	Rel. int.	index
6.191	14.3	51	1 1 0
4.993	17.8	60	1 1 1
4.464	19.9	100	3 1 -1
4.085	21.8	63	1 1 -2
3.657	24.3	93	1 1 2
3.299	27.0	51	0 2 0
3.284	27.2	87	5 1 -1
3.153	28.3	70	6 0 -1
3.128	28.5	49	0 2 1
3.009	29.7	53	3 1 -3
2.775	32.3	53	5 1 1
2.282	39.5	60	6 2 -1

Structural model:
```
data_K3H3S2O8F2
_cell_length_a 18.9517
_cell_length_b 6.5971
_cell_length_c 10.4213
_cell_angle_alpha 90.00
_cell_angle_beta 109.08
_cell_angle_gamma 90.00
_symmetry_space_group_name_H-M 'C 1 2 1'
_symmetry_Int_Tables_number 5
loop_
_symmetry_equiv_pos_as_xyz
'x,y,z'
'-x,y,-z'
'x+1/2,y+1/2,z'
'-x+1/2,y+1/2,-z'
loop_
_atom_site_label
_atom_site_type_symbol
_atom_site_fract_x
_atom_site_fract_y
_atom_site_fract_z
K1 K 0.0000 0.0000 0.0000
K2 K 0.0000 0.1097 0.5000
K3 K 0.1510 0.5975 0.5471
K4 K 0.2483 0.1052 0.8127
H1 H 0.0123 0.6051 0.6925
H2 H 0.0795 0.5397 0.9897
H3 H 0.0992 0.8436 0.2797
S1 S 0.0962 0.4059 0.8396
S2 S 0.1475 0.1392 0.3333
O1 O 0.0507 0.4976 0.6865
O2 O 0.0782 0.1849 0.8281
O3 O 0.0855 0.6063 0.0831
O4 O 0.1422 0.9247 0.2551
O5 O 0.1526 0.1955 0.5699
O6 O 0.1761 0.0405 0.4870
O7 O 0.1764 0.4444 0.8559
O8 O 0.2107 0.2448 0.3098
F1 F 0.0440 0.7696 0.3261
F2 F 0.0600 0.4347 0.1462
```

=====

Diffraction record for K2SnH2OF6. The powder diffractogram is simulated, not measured: it uses the PBE geometry in the Materials Project and Cu Kα.
No peak broadening, texture or thermal motion is included.

Peak list (12 most intense, 2θ from 10° to 90°, low angle first)
d (Å)	2θ (°)	Rel. int.	index
8.375	10.6	25	1 1 0
8.048	11.0	19	1 1 -1
5.412	16.4	64	0 2 1
5.317	16.7	55	2 0 0
4.993	17.8	49	2 0 -2
4.617	19.2	100	2 2 -1
4.474	19.8	63	0 0 2
3.398	26.2	38	0 4 0
3.295	27.1	95	2 2 1
3.141	28.4	95	4 0 -2
2.309	39.0	57	4 4 -2
2.237	40.3	39	0 0 4

Structural model:
```
data_K2SnH2OF6
_cell_length_a 12.6132
_cell_length_b 13.5918
_cell_length_c 10.6150
_cell_angle_alpha 90.00
_cell_angle_beta 122.54
_cell_angle_gamma 90.00
_symmetry_space_group_name_H-M 'C 1 2/c 1'
_symmetry_Int_Tables_number 15
loop_
_symmetry_equiv_pos_as_xyz
'x,y,z'
'-x,-y,-z'
'-x,y,-z+1/2'
'x,-y,z+1/2'
'x+1/2,y+1/2,z'
'-x+1/2,-y+1/2,-z'
'-x+1/2,y+1/2,-z+1/2'
'x+1/2,-y+1/2,z+1/2'
loop_
_atom_site_label
_atom_site_type_symbol
_atom_site_fract_x
_atom_site_fract_y
_atom_site_fract_z
K1 K 0.1298 0.1255 0.0015
K2 K 0.2255 0.3723 0.2666
Sn1 Sn 0.0000 0.0943 0.2500
Sn2 Sn 0.0000 0.3472 0.7500
H1 H 0.0588 0.3173 0.4022
H2 H 0.0587 0.4314 0.4054
O1 O 0.1136 0.3745 0.4302
F1 F 0.0815 0.0839 0.4721
F2 F 0.0960 0.2396 0.7247
F3 F 0.1004 0.4525 0.7299
F4 F 0.1031 0.2011 0.2359
F5 F 0.1198 0.0113 0.7717
F6 F 0.1307 0.3395 0.9715
```

=====

Diffraction record for K2SnH2OF6. The powder diffractogram is simulated, not measured: it uses the PBE geometry in the Materials Project and Cu Kα.
No peak broadening, texture or thermal motion is included.

Peak list (12 most intense, 2θ from 10° to 90°, low angle first)
d (Å)	2θ (°)	Rel. int.	index
8.173	10.8	31	1 1 1
5.413	16.4	40	0 2 2
5.123	17.3	63	2 0 2
4.587	19.4	59	2 2 0
4.499	19.7	40	0 0 4
3.388	26.3	22	0 4 0
3.212	27.8	100	2 2 4
3.116	28.6	21	4 0 0
2.294	39.3	33	4 4 0
2.251	40.1	51	0 0 8
1.824	50.0	21	4 0 8
1.606	57.4	17	4 4 8

Structural model:
```
data_K2SnH2OF6
_cell_length_a 12.4645
_cell_length_b 13.5522
_cell_length_c 17.9942
_cell_angle_alpha 90.00
_cell_angle_beta 90.00
_cell_angle_gamma 90.00
_symmetry_space_group_name_H-M 'F d d d'
_symmetry_Int_Tables_number 70
loop_
_symmetry_equiv_pos_as_xyz
'x,y,z'
'-x,-y,-z'
'-x+1/4,-y+1/4,z'
'x+1/4,y+1/4,-z'
'x,-y+1/4,-z+1/4'
'-x,y+1/4,z+1/4'
'-x+1/4,y,-z+1/4'
'x+1/4,-y,z+1/4'
'x,y+1/2,z+1/2'
'-x,-y+1/2,-z+1/2'
'-x+1/4,-y+3/4,z+1/2'
'x+1/4,y+3/4,-z+1/2'
'x,-y+3/4,-z+3/4'
'-x,y+3/4,z+3/4'
'-x+1/4,y+1/2,-z+3/4'
'x+1/4,-y+1/2,z+3/4'
'x+1/2,y,z+1/2'
'-x+1/2,-y,-z+1/2'
'-x+3/4,-y+1/4,z+1/2'
'x+3/4,y+1/4,-z+1/2'
'x+1/2,-y+1/4,-z+3/4'
'-x+1/2,y+1/4,z+3/4'
'-x+3/4,y,-z+3/4'
'x+3/4,-y,z+3/4'
'x+1/2,y+1/2,z'
'-x+1/2,-y+1/2,-z'
'-x+3/4,-y+3/4,z'
'x+3/4,y+3/4,-z'
'x+1/2,-y+3/4,-z+1/4'
'-x+1/2,y+3/4,z+1/4'
'-x+3/4,y+1/2,-z+1/4'
'x+3/4,-y+1/2,z+1/4'
loop_
_atom_site_label
_atom_site_type_symbol
_atom_site_fract_x
_atom_site_fract_y
_atom_site_fract_z
K1 K 0.0887 0.3750 0.3750
K2 K 0.1250 0.1250 0.5015
Sn1 Sn 0.1250 0.3437 0.6250
H1 H 0.1241 0.0670 0.0518
O1 O 0.1250 0.1250 0.0197
F1 F 0.0142 0.2992 0.1242
F2 F 0.0155 0.0140 0.6336
F3 F 0.1036 0.3345 0.7353
```